Entry 1:
# Ti5CuS10
Computed powder XRD pattern, λ = 1.5418 Å (Cu Kα). Input: DFT lattice parameters and positions (GGA-PBE).
Intensities are scaled so that the largest is 1000.

```
Ti5CuS10
1.0
5.903 0.000 0.000
-0.003 6.833 0.000
-2.944 -2.582 7.380
Ti Cu S
5 1 10
Direct
0.000 0.000 0.000
0.194 0.400 0.399
0.403 0.802 0.795
0.597 0.198 0.205
0.806 0.600 0.601
0.500 0.500 0.000
0.086 0.745 0.503
0.118 0.655 0.898
0.284 0.147 0.902
0.312 0.056 0.297
0.484 0.547 0.304
0.516 0.453 0.696
0.688 0.944 0.703
0.716 0.853 0.098
0.882 0.345 0.102
0.914 0.255 0.497
```

Principal peaks in the range 2θ = 10–80°, most intense first:
two_theta, I/Imax
33.94, 1000
43.29, 984
14.96, 447
53.81, 443
56.06, 216
71.43, 195
65.14, 88
16.17, 88
62.77, 87
30.28, 85

Entry 2:
# Tl3CuS6
Computed powder XRD pattern, λ = 1.5418 Å (Cu Kα). Input: DFT lattice parameters and positions (GGA-PBE).
Intensities are scaled so that the largest is 1000.

```
Tl3CuS6
1.0
5.744 3.316 2.486
-5.744 3.316 2.486
0.000 -6.633 2.486
Tl Cu S
3 1 6
Direct
0.174 0.174 0.651
0.174 0.651 0.174
0.651 0.174 0.174
0.781 0.781 0.781
0.096 0.773 0.773
0.108 0.531 0.531
0.531 0.108 0.531
0.531 0.531 0.108
0.773 0.096 0.773
0.773 0.773 0.096
```

Principal peaks in the range 2θ = 10–80°, most intense first:
two_theta, I/Imax
21.47, 1000
31.14, 756
29.95, 700
38.14, 340
48.43, 309
50.03, 294
25.51, 250
43.75, 224
15.43, 174
54.67, 166

Entry 3:
# TlCuS3
Computed powder XRD pattern, λ = 1.5418 Å (Cu Kα). Input: DFT lattice parameters and positions (GGA-PBE).
Intensities are scaled so that the largest is 1000.

```
TlCuS3
1.0
5.148 0.000 0.000
2.472 7.340 0.000
0.548 2.643 7.592
Tl Cu S
2 2 6
Direct
0.200 0.160 0.301
0.800 0.840 0.699
0.446 0.580 0.346
0.554 0.420 0.654
0.214 0.972 0.976
0.363 0.681 0.063
0.364 0.742 0.536
0.636 0.258 0.464
0.637 0.319 0.937
0.786 0.028 0.024
```

Principal peaks in the range 2θ = 10–80°, most intense first:
two_theta, I/Imax
21.24, 1000
34.98, 712
27.24, 583
31.71, 564
26.44, 551
19.98, 530
22.09, 515
25.44, 515
14.19, 503
46.39, 457

Entry 4:
# Tl3CuS4
Computed powder XRD pattern, λ = 1.5418 Å (Cu Kα). Input: DFT lattice parameters and positions (GGA-PBE).
Intensities are scaled so that the largest is 1000.

```
Tl3CuS4
1.0
6.182 0.000 0.000
0.000 6.182 0.000
0.000 0.000 11.721
Tl Cu S
6 2 8
Direct
0.000 0.000 0.000
0.000 0.500 0.250
0.000 0.500 0.750
0.500 0.000 0.250
0.500 0.000 0.750
0.500 0.500 0.500
0.000 0.000 0.500
0.500 0.500 0.000
0.206 0.206 0.377
0.206 0.794 0.623
0.294 0.294 0.877
0.294 0.706 0.123
0.706 0.294 0.123
0.706 0.706 0.877
0.794 0.206 0.623
0.794 0.794 0.377
```

Principal peaks in the range 2θ = 10–80°, most intense first:
two_theta, I/Imax
25.42, 1000
42.51, 336
49.13, 333
28.88, 238
41.31, 175
51.22, 150
67.82, 128
76.14, 104
52.21, 104
30.51, 97

Repeat the first record exactly.
# Ti5CuS10
Computed powder XRD pattern, λ = 1.5418 Å (Cu Kα). Input: DFT lattice parameters and positions (GGA-PBE).
Intensities are scaled so that the largest is 1000.

```
Ti5CuS10
1.0
5.903 0.000 0.000
-0.003 6.833 0.000
-2.944 -2.582 7.380
Ti Cu S
5 1 10
Direct
0.000 0.000 0.000
0.194 0.400 0.399
0.403 0.802 0.795
0.597 0.198 0.205
0.806 0.600 0.601
0.500 0.500 0.000
0.086 0.745 0.503
0.118 0.655 0.898
0.284 0.147 0.902
0.312 0.056 0.297
0.484 0.547 0.304
0.516 0.453 0.696
0.688 0.944 0.703
0.716 0.853 0.098
0.882 0.345 0.102
0.914 0.255 0.497
```

Principal peaks in the range 2θ = 10–80°, most intense first:
two_theta, I/Imax
33.94, 1000
43.29, 984
14.96, 447
53.81, 443
56.06, 216
71.43, 195
65.14, 88
16.17, 88
62.77, 87
30.28, 85